1.
Diffraction record for Tm3Ni8H. The powder X-ray diffraction pattern is calculated, not measured: it uses the PBE geometry in Alexandria and CuKα.
Kinematic intensities with the Lorentz-polarization factor, no thermal factor.

a b c (Å): 4.9642 4.9642 24.1518
angles (deg): 90.00 90.00 120.00
Space group R3m (No. 160, hexagonal axes)
Inequivalent atoms, fractional coordinates:
Tm  0.0000  0.0000  0.0000 [3 per cell]
Tm  0.0000  0.0000  0.1322 [3 per cell]
Tm  0.0000  0.0000  0.5252 [3 per cell]
Ni  0.0000  0.0000  0.3204 [3 per cell]
Ni  0.0000  0.0000  0.8221 [3 per cell]
Ni  0.0075  0.5037  0.0719 [9 per cell]
Ni  0.1698  0.3396  0.9040 [9 per cell]
H  0.0000  0.0000  0.7039 [3 per cell]

Most intense lines, 2θ from 10° to 90°, in order of rising 2θ:
- 2θ 11.0, I 13
- 2θ 21.0, I 14
- 2θ 27.8, I 20
- 2θ 33.3, I 26
- 2θ 36.2, I 40
- 2θ 36.4, I 29
- 2θ 42.8, I 100
- 2θ 43.0, I 34
- 2θ 44.8, I 28
- 2θ 69.6, I 24
- 2θ 69.7, I 18
- 2θ 76.8, I 17

***

2.
Diffraction record for NiPtSeN2. The powder X-ray diffraction pattern is calculated, not measured: it uses the PBE geometry in Alexandria and CuKα.
Kinematic intensities with the Lorentz-polarization factor, no thermal factor.

a b c (Å): 3.6726 3.6726 7.9905
angles (deg): 90.00 90.00 90.00
Space group P4/mmm (No. 123)
Inequivalent atoms, fractional coordinates:
Ni  0.0000  0.0000  0.0000 [1 per cell]
Pt  0.5000  0.5000  0.5000 [1 per cell]
Se  0.5000  0.5000  0.0000 [1 per cell]
N  0.0000  0.5000  0.5000 [2 per cell]

Most intense lines, 2θ from 10° to 90°, in order of rising 2θ:
- 2θ 11.1, I 19
- 2θ 22.3, I 100
- 2θ 24.2, I 50
- 2θ 26.7, I 58
- 2θ 33.1, I 45
- 2θ 34.5, I 46
- 2θ 41.5, I 56
- 2θ 41.9, I 18
- 2θ 49.6, I 22
- 2θ 55.0, I 32
- 2θ 58.3, I 21
- 2θ 61.0, I 16